Ca2ReN3: simulated powder diffractogram (Cu Kα), based on the PBE geometry in Alexandria.
Peak positions follow from Bragg's law for the DFT cell and can differ from measured ones.

Atomic structure:
```
data_Ca2ReN3
_cell_length_a 5.6132
_cell_length_b 10.7622
_cell_length_c 12.3024
_cell_angle_alpha 90.00
_cell_angle_beta 90.00
_cell_angle_gamma 90.00
_symmetry_space_group_name_H-M 'C m c e'
_symmetry_Int_Tables_number 64
_symmetry_space_group_name_Hall '-C 2ac 2'
loop_
_atom_site_label
_atom_site_fract_x
_atom_site_fract_y
_atom_site_fract_z
Ca1 0.0000 0.0501 0.1322
Ca2 0.0000 0.1414 0.5815
Re1 0.0000 0.2409 0.3455
N1 0.0000 0.0725 0.3747
N2 0.0000 0.1536 0.9690
N3 0.2500 0.2121 0.7500
```

Most intense lines, 2θ from 15° to 90°, by angle:
2theta, I (rel.), index
16.47, 76, 0 2 0
22.99, 100, 1 1 2
29.03, 25, 0 0 4
31.89, 45, 2 0 0
33.02, 87, 1 3 2
34.27, 38, 1 1 4
43.66, 21, 2 0 4
47.60, 21, 1 5 2